For Np2InPt2, a structure optimized by DFT (PBE) gives the computed powder X-ray diffraction pattern in this record (Cu Kα (λ = 1.5418 Å)).

Structural model:
```
data_Np2InPt2
_symmetry_space_group_name_H-M 'P 1'
_symmetry_Int_Tables_number 1
_symmetry_space_group_name_Hall 'P 1'
_cell_length_a 7.695
_cell_length_b 7.695
_cell_length_c 3.651
_cell_angle_alpha 90.00
_cell_angle_beta 90.00
_cell_angle_gamma 90.00
loop_
_atom_site_label
_atom_site_type_symbol
_atom_site_fract_x
_atom_site_fract_y
_atom_site_fract_z
_atom_site_occupancy
Np1 Np 0.169 0.331 0.000 1
Np2 Np 0.331 0.831 0.000 1
Np3 Np 0.669 0.169 0.000 1
Np4 Np 0.831 0.669 0.000 1
In1 In 0.000 0.000 0.500 1
In2 In 0.500 0.500 0.500 1
Pt1 Pt 0.131 0.631 0.500 1
Pt2 Pt 0.369 0.131 0.500 1
Pt3 Pt 0.631 0.869 0.500 1
Pt4 Pt 0.869 0.369 0.500 1
```

Peak list (10 most intense, 2θ = 10–90°, most intense first)
- (2 1 1), 2θ = 35.9°, I = 100
- (3 1 0), 2θ = 36.9°, I = 35
- (2 0 1), 2θ = 33.8°, I = 17
- (5 2 1), 2θ = 70.8°, I = 15
- (3 1 2), 2θ = 63.7°, I = 15
- (4 1 1), 2θ = 55.3°, I = 12
- (1 1 0), 2θ = 16.3°, I = 12
- (0 0 2), 2θ = 50.0°, I = 12
- (2 1 3), 2θ = 84.4°, I = 10
- (3 3 0), 2θ = 50.3°, I = 8